Entry 1:
Starting from DFT lattice parameters and positions (GGA-PBE), the powder diffraction line list of Cs2BaNpSe4 was computed for Cu Ka.

The 10 most intense peaks (10 to 90 degrees two-theta), sorted by position:
8.347 Å, intensity 25
4.174 Å, intensity 16
3.747 Å, intensity 17
3.361 Å, intensity 47
3.336 Å, intensity 100
2.477 Å, intensity 17
2.444 Å, intensity 32
2.298 Å, intensity 34
2.257 Å, intensity 19
1.873 Å, intensity 18

Structural model:
```
8
Lattice="8.010 0.000 0.000 0.000 4.513 0.000 -2.598 0.000 8.347" Properties=species:S:1:pos:R:3 pbc="T T T"
Cs 0.000 0.000 0.000
Cs 4.005 2.257 0.000
Ba -1.299 2.257 4.174
Np 2.706 0.000 4.174
Se 0.392 0.000 5.786
Se 1.599 2.257 2.637
Se 3.813 2.257 5.710
Se 5.021 0.000 2.562
```

---

Entry 2:
Starting from DFT lattice parameters and positions (GGA-PBE), the powder diffraction line list of Hf2GaNi9 was computed for Cu Ka.

The 10 most intense peaks (10 to 90 degrees two-theta), sorted by position:
3.695 Å, intensity 11
3.648 Å, intensity 6
2.596 Å, intensity 9
2.124 Å, intensity 100
1.847 Å, intensity 33
1.824 Å, intensity 15
1.306 Å, intensity 10
1.298 Å, intensity 18
1.113 Å, intensity 23
1.102 Å, intensity 10

Structural model:
```
12
Lattice="3.695 0.000 0.000 0.000 3.695 0.000 0.000 0.000 10.943" Properties=species:S:1:pos:R:3 pbc="T T T"
Hf 0.000 0.000 1.892
Hf 0.000 0.000 9.051
Ga 0.000 0.000 5.472
Ni 0.000 1.847 0.000
Ni 0.000 1.847 3.757
Ni 0.000 1.847 7.187
Ni 1.847 0.000 0.000
Ni 1.847 0.000 3.757
Ni 1.847 0.000 7.187
Ni 1.847 1.847 1.881
Ni 1.847 1.847 5.472
Ni 1.847 1.847 9.062
```

---

Entry 3:
Starting from DFT lattice parameters and positions (GGA-PBE), the powder diffraction line list of LaPm5Sn4 was computed for Cu Ka.

The 10 most intense peaks (10 to 90 degrees two-theta), sorted by position:
3.880 Å, intensity 21
2.744 Å, intensity 100
2.671 Å, intensity 93
2.652 Å, intensity 90
1.940 Å, intensity 36
1.829 Å, intensity 15
1.572 Å, intensity 36
1.567 Å, intensity 18
1.561 Å, intensity 16
1.523 Å, intensity 17

Structural model:
```
10
Lattice="8.221 -2.747 0.000 8.221 2.747 0.000 -0.073 0.000 7.316" Properties=species:S:1:pos:R:3 pbc="T T T"
La 0.000 0.000 0.000
Pm -0.037 0.000 3.658
Pm 5.443 0.000 3.575
Pm 5.499 0.000 0.050
Pm 10.871 0.000 7.267
Pm 10.927 0.000 3.742
Sn 2.860 0.000 5.478
Sn 8.021 0.000 5.439
Sn 8.349 0.000 1.877
Sn 13.509 0.000 1.838
```

---

Entry 4:
Starting from DFT lattice parameters and positions (GGA-PBE), the powder diffraction line list of CeAlZn2Ga was computed for Cu Ka.

The 10 most intense peaks (10 to 90 degrees two-theta), sorted by position:
2.985 Å, intensity 35
2.731 Å, intensity 80
2.609 Å, intensity 100
2.111 Å, intensity 57
1.915 Å, intensity 44
1.670 Å, intensity 36
1.492 Å, intensity 18
1.418 Å, intensity 32
1.295 Å, intensity 22
1.133 Å, intensity 13

Structural model:
```
5
Lattice="-2.111 2.111 5.371 2.111 -2.111 5.371 2.111 2.111 -5.371" Properties=species:S:1:pos:R:3 pbc="T T T"
Ce 0.000 0.000 0.000
Al 0.000 2.111 2.686
Zn 0.000 0.000 4.161
Zn 0.000 0.000 6.582
Ga 2.111 0.000 2.686
```

---

Entry 5:
Starting from DFT lattice parameters and positions (GGA-PBE), the powder diffraction line list of NdHoEr2Sc4 was computed for Cu Ka.

The 10 most intense peaks (10 to 90 degrees two-theta), sorted by position:
4.209 Å, intensity 56
3.166 Å, intensity 45
2.897 Å, intensity 22
2.820 Å, intensity 100
2.106 Å, intensity 57
2.105 Å, intensity 29
2.020 Å, intensity 17
1.628 Å, intensity 19
1.448 Å, intensity 25
1.380 Å, intensity 21

Structural model:
```
16
Lattice="6.509 -6.331 0.000 6.509 6.331 0.000 -3.262 0.000 5.642" Properties=species:S:1:pos:R:3 pbc="T T T"
Nd 0.000 0.000 0.000
Nd -1.631 0.000 2.821
Ho 3.255 3.166 0.000
Ho 1.624 -3.166 2.821
Er 1.624 3.166 2.821
Er 3.255 -3.166 0.000
Er 6.509 0.000 0.000
Er 4.878 0.000 2.821
Sc 1.647 0.005 2.844
Sc 3.278 -0.005 0.023
Sc 3.247 3.130 5.640
Sc 4.878 3.130 2.822
Sc 6.509 -3.130 0.001
Sc 4.878 -3.130 2.820
Sc 6.478 0.005 5.618
Sc 8.109 -0.005 2.797
```

---

Entry 6:
Starting from DFT lattice parameters and positions (GGA-PBE), the powder diffraction line list of PrNdCu10 was computed for Cu Ka.

The 10 most intense peaks (10 to 90 degrees two-theta), sorted by position:
3.022 Å, intensity 63
2.558 Å, intensity 29
2.225 Å, intensity 35
2.211 Å, intensity 17
2.184 Å, intensity 51
2.174 Å, intensity 100
2.063 Å, intensity 41
1.513 Å, intensity 20
1.396 Å, intensity 23
1.279 Å, intensity 16

Structural model:
```
12
Lattice="4.125 0.000 0.000 0.000 5.150 0.000 0.000 0.000 8.843" Properties=species:S:1:pos:R:3 pbc="T T T"
Pr 0.000 0.000 0.000
Nd 0.000 2.575 4.421
Cu 0.000 0.000 2.959
Cu 0.000 0.000 5.884
Cu 0.000 2.575 1.478
Cu 0.000 2.575 7.365
Cu 2.063 0.000 4.421
Cu 2.063 1.290 2.217
Cu 2.063 1.290 6.626
Cu 2.063 2.575 0.000
Cu 2.063 3.860 2.217
Cu 2.063 3.860 6.626
```

---

Entry 7:
Starting from DFT lattice parameters and positions (GGA-PBE), the powder diffraction line list of DyTh2Ni was computed for Cu Ka.

The 10 most intense peaks (10 to 90 degrees two-theta), sorted by position:
2.936 Å, intensity 47
2.884 Å, intensity 100
2.858 Å, intensity 100
2.674 Å, intensity 31
2.582 Å, intensity 51
2.404 Å, intensity 36
2.354 Å, intensity 49
1.697 Å, intensity 25
1.594 Å, intensity 26
1.546 Å, intensity 33

Structural model:
```
8
Lattice="3.662 0.000 0.000 0.000 9.931 0.000 -1.828 0.000 5.871" Properties=species:S:1:pos:R:3 pbc="T T T"
Dy -0.002 2.483 1.049
Dy 1.836 7.448 4.823
Th 0.003 0.582 4.271
Th 0.003 4.384 4.271
Th 1.831 5.547 1.600
Th 1.831 9.349 1.600
Ni 0.003 7.448 2.535
Ni 1.831 2.483 3.336
```

---

Entry 8:
Starting from DFT lattice parameters and positions (GGA-PBE), the powder diffraction line list of La2Ti3O9 was computed for Cu Ka.

The 10 most intense peaks (10 to 90 degrees two-theta), sorted by position:
7.841 Å, intensity 100
3.490 Å, intensity 60
2.765 Å, intensity 92
2.764 Å, intensity 91
2.754 Å, intensity 93
2.254 Å, intensity 58
1.947 Å, intensity 72
1.598 Å, intensity 36
1.592 Å, intensity 70
1.382 Å, intensity 40

Structural model:
```
28
Lattice="8.264 -2.753 0.000 8.264 2.753 0.000 -5.513 0.000 7.852" Properties=species:S:1:pos:R:3 pbc="T T T"
La 0.000 0.000 0.000
La 0.013 0.000 3.928
La 5.508 0.000 3.926
La 11.002 0.000 3.924
Ti -2.691 0.000 5.957
Ti 2.809 0.000 1.827
Ti 2.742 0.000 5.928
Ti 8.273 0.000 1.924
Ti 8.206 0.000 6.025
Ti 13.706 0.000 1.895
O -2.756 0.000 3.926
O 1.437 1.439 5.835
O 4.116 1.370 2.162
O -2.956 0.000 7.823
O 4.093 1.416 5.735
O 6.922 1.416 2.117
O 2.650 0.000 3.922
O 9.578 1.439 2.017
O 6.899 1.370 5.690
O 8.264 0.000 0.000
O 4.116 -1.370 2.162
O 1.437 -1.439 5.835
O 8.365 0.000 3.930
O 4.093 -1.416 5.735
O 6.922 -1.416 2.117
O 13.971 0.000 0.029
O 6.899 -1.370 5.690
O 9.578 -1.439 2.017
```

---

Entry 9:
Starting from DFT lattice parameters and positions (GGA-PBE), the powder diffraction line list of Co3N was computed for Cu Ka.

The 10 most intense peaks (10 to 90 degrees two-theta), sorted by position:
2.914 Å, intensity 2
2.271 Å, intensity 18
2.169 Å, intensity 25
2.012 Å, intensity 100
1.569 Å, intensity 18
1.311 Å, intensity 16
1.220 Å, intensity 17
1.136 Å, intensity 2
1.122 Å, intensity 15
1.099 Å, intensity 12

Structural model:
```
8
Lattice="4.543 0.000 0.000 -2.271 3.934 0.000 0.000 0.000 4.339" Properties=species:S:1:pos:R:3 pbc="T T T"
Co -0.741 1.284 0.000
Co -1.530 2.650 2.169
Co 1.483 0.000 0.000
Co 0.741 1.284 2.169
Co 3.060 0.000 2.169
Co 1.530 2.650 0.000
N 0.000 2.623 1.085
N 2.271 1.311 3.254
```

---

Entry 10:
Starting from DFT lattice parameters and positions (GGA-PBE), the powder diffraction line list of CsAs2S4 was computed for Cu Ka.

The 10 most intense peaks (10 to 90 degrees two-theta), sorted by position:
5.995 Å, intensity 78
4.522 Å, intensity 100
4.359 Å, intensity 25
3.220 Å, intensity 28
3.175 Å, intensity 25
3.149 Å, intensity 22
2.806 Å, intensity 23
2.711 Å, intensity 69
2.316 Å, intensity 29
1.880 Å, intensity 33

Structural model:
```
14
Lattice="3.387 -6.440 0.000 3.387 6.440 0.000 0.000 0.000 12.701" Properties=species:S:1:pos:R:3 pbc="T T T"
Cs 0.000 0.000 3.175
Cs 0.000 0.000 9.526
As 3.320 3.174 0.000
As 3.454 3.174 6.351
As 3.320 -3.174 6.351
As 3.454 -3.174 0.000
S 1.693 3.220 1.689
S 1.693 3.220 11.012
S 0.914 1.329 6.351
S 0.914 -1.329 0.000
S 1.693 -3.220 4.662
S 1.693 -3.220 8.039
S 5.860 1.329 0.000
S 5.860 -1.329 6.351
```

---

Entry 11:
Starting from DFT lattice parameters and positions (GGA-PBE), the powder diffraction line list of CsAs4H7 was computed for Cu Ka.

The 10 most intense peaks (10 to 90 degrees two-theta), sorted by position:
6.621 Å, intensity 71
4.781 Å, intensity 75
3.810 Å, intensity 71
3.778 Å, intensity 88
3.464 Å, intensity 89
3.311 Å, intensity 100
3.237 Å, intensity 61
3.180 Å, intensity 57
2.794 Å, intensity 93
2.416 Å, intensity 74

Structural model:
```
12
Lattice="5.861 0.000 0.000 -1.350 6.392 0.000 -2.234 -2.527 6.621" Properties=species:S:1:pos:R:3 pbc="T T T"
Cs 0.000 0.000 0.000
As 0.453 -1.363 4.211
As 1.576 3.320 0.796
As 1.931 0.629 3.953
As 4.017 3.008 0.723
H -1.154 4.712 2.691
H -0.771 1.220 5.933
H 0.246 3.993 4.181
H 1.471 4.811 1.241
H 2.071 0.487 2.409
H 3.247 -0.154 4.135
H 3.977 2.128 2.000
```

---

Entry 12:
Starting from DFT lattice parameters and positions (GGA-PBE), the powder diffraction line list of V5NiRh4 was computed for Cu Ka.

The 10 most intense peaks (10 to 90 degrees two-theta), sorted by position:
3.674 Å, intensity 21
2.183 Å, intensity 100
2.172 Å, intensity 96
1.912 Å, intensity 64
1.837 Å, intensity 29
1.325 Å, intensity 36
1.151 Å, intensity 23
1.146 Å, intensity 21
1.116 Å, intensity 11
1.115 Å, intensity 10

Structural model:
```
10
Lattice="2.715 0.000 0.000 0.000 3.674 0.000 0.000 0.000 13.463" Properties=species:S:1:pos:R:3 pbc="T T T"
V 0.000 0.000 0.000
V 0.000 0.000 2.738
V 0.000 0.000 5.465
V 0.000 0.000 7.998
V 0.000 0.000 10.725
Ni 1.357 1.837 6.732
Rh 1.357 1.837 1.375
Rh 1.357 1.837 4.129
Rh 1.357 1.837 9.334
Rh 1.357 1.837 12.089
```

---

Entry 13:
Starting from DFT lattice parameters and positions (GGA-PBE), the powder diffraction line list of MnGaCoRuS was computed for Cu Ka.

The 10 most intense peaks (10 to 90 degrees two-theta), sorted by position:
7.542 Å, intensity 100
2.381 Å, intensity 94
2.341 Å, intensity 79
2.141 Å, intensity 91
2.059 Å, intensity 52
1.945 Å, intensity 63
1.923 Å, intensity 68
1.265 Å, intensity 23
1.233 Å, intensity 26
1.200 Å, intensity 27

Structural model:
```
5
Lattice="2.986 0.000 0.000 0.000 3.070 0.000 0.000 0.000 7.542" Properties=species:S:1:pos:R:3 pbc="T T T"
Mn 0.000 0.000 0.000
Ga 0.000 0.000 4.562
Co 1.493 1.535 3.215
Ru 1.493 1.535 6.050
S 0.000 1.535 1.666
```